[1]
Starting from a cell relaxed with GGA-PBE, the PXRD pattern of Ba3La2Cl12 was calculated for Cu Kα X-rays.

Cell and atoms:
```
data_Ba3La2Cl12
_cell_length_a 10.3310
_cell_length_b 14.7346
_cell_length_c 15.9390
_cell_angle_alpha 90.00
_cell_angle_beta 108.71
_cell_angle_gamma 90.00
_space_group_name_H-M_alt 'C 1 2/c 1'
_space_group_IT_number 15
loop_
_space_group_symop_operation_xyz
'x,y,z'
'-x,-y,-z'
'-x,y,-z+1/2'
'x,-y,z+1/2'
'x+1/2,y+1/2,z'
'-x+1/2,-y+1/2,-z'
'-x+1/2,y+1/2,-z+1/2'
'x+1/2,-y+1/2,z+1/2'
loop_
_atom_site_label
_atom_site_fract_x
_atom_site_fract_y
_atom_site_fract_z
_atom_site_occupancy
Ba1 0.0000 0.1302 0.2500 1
Ba2 0.1626 0.3766 0.0799 1
La1 0.1742 0.1250 0.5900 1
Cl1 0.0745 0.2202 0.9301 1
Cl2 0.0776 0.0180 0.4266 1
Cl3 0.0998 0.2567 0.4253 1
Cl4 0.1018 0.4897 0.4171 1
Cl5 0.2214 0.0158 0.7427 1
Cl6 0.2480 0.2543 0.2602 1
```

Top 6 peaks for 2θ = 10–90°, by angle:
h k l, 2θ/deg, intensity
1 1 -1, 10.86, 28
2 2 -1, 21.00, 95
0 2 3, 21.38, 95
4 0 -2, 34.77, 100
2 4 -4, 34.86, 66
0 0 6, 35.68, 32

[2]
Starting from a cell relaxed with GGA-PBE, the PXRD pattern of SrI2O6 was calculated for Cu Kα X-rays.

Cell and atoms:
```
data_SrI2O6
_cell_length_a 7.5312
_cell_length_b 11.8311
_cell_length_c 9.1144
_cell_angle_alpha 90.00
_cell_angle_beta 126.59
_cell_angle_gamma 90.00
_space_group_name_H-M_alt 'P 1 21/c 1'
_space_group_IT_number 14
loop_
_space_group_symop_operation_xyz
'x,y,z'
'-x,-y,-z'
'-x,y+1/2,-z+1/2'
'x,-y+1/2,z+1/2'
loop_
_atom_site_label
_atom_site_fract_x
_atom_site_fract_y
_atom_site_fract_z
_atom_site_occupancy
Sr1 0.2343 0.0986 0.0072 1
I1 0.2361 0.0747 0.4631 1
I2 0.3172 0.7139 0.5580 1
O1 0.0329 0.5378 0.8342 1
O2 0.0602 0.2007 0.3786 1
O3 0.1203 0.6079 0.5249 1
O4 0.3739 0.0920 0.3513 1
O5 0.4482 0.7462 0.2960 1
O6 0.4800 0.1102 0.9044 1
```

Top 6 peaks for 2θ = 10–90°, by angle:
h k l, 2θ/deg, intensity
0 0 2, 24.33, 61
2 0 -2, 24.60, 83
1 3 0, 26.99, 100
2 0 0, 29.55, 24
1 3 -2, 29.96, 43
3 3 -2, 42.75, 35

[3]
Starting from a cell relaxed with GGA-PBE, the PXRD pattern of ScGeRu was calculated for Cu Kα X-rays.

Cell and atoms:
```
data_ScGeRu
_cell_length_a 7.0016
_cell_length_b 7.0016
_cell_length_c 3.4841
_cell_angle_alpha 90.00
_cell_angle_beta 90.00
_cell_angle_gamma 120.00
_space_group_name_H-M_alt 'P -6 2 m'
_space_group_IT_number 189
_space_group_name_Hall 'P -6 -2'
loop_
_atom_site_label
_atom_site_fract_x
_atom_site_fract_y
_atom_site_fract_z
_atom_site_occupancy
Sc1 0.0000 0.5989 0.0000 1
Ge1 0.0000 0.0000 0.0000 1
Ge2 0.3333 0.6667 0.5000 1
Ru1 0.0000 0.2533 0.5000 1
```

Top 6 peaks for 2θ = 10–90°, by angle:
h k l, 2θ/deg, intensity
0 0 1, 25.57, 18
1 1 1, 36.38, 63
2 0 1, 39.36, 100
3 0 0, 44.84, 31
2 1 1, 47.49, 49
3 2 1, 73.27, 25